No. 1
Simulated powder diffraction line list of InP3O9 for Cu Ka, from a DFT-relaxed cell (GGA-PBE, the Materials Project).

The 10 most intense peaks (2θ = 15–90°), in order of rising 2θ:
2θ (°)  intensity  index
16.08  38  1 1 -1
18.20  21  2 0 -2
21.95  100  1 1 1
23.72  19  3 1 -1
24.83  26  3 1 -2
26.03  16  4 0 -2
30.59  20  3 1 -3
31.32  18  2 2 0
35.27  26  2 0 2
42.59  12  4 2 0

Structure:
```
data_InP3O9
_cell_length_a 13.794
_cell_length_b 6.687
_cell_length_c 9.838
_cell_angle_alpha 90.00
_cell_angle_beta 127.19
_cell_angle_gamma 90.00
_symmetry_space_group_name_H-M 'C 1 c 1'
_symmetry_Int_Tables_number 9
_symmetry_space_group_name_Hall 'C -2yc'
loop_
_atom_site_label
_atom_site_fract_x
_atom_site_fract_y
_atom_site_fract_z
_atom_site_occupancy
In1 0.000 0.237 0.000 1
P1 0.146 0.100 0.831 1
P2 0.244 0.428 0.729 1
P3 0.356 0.083 0.671 1
O1 0.040 0.118 0.836 1
O2 0.135 0.054 0.211 1
O3 0.157 0.425 0.095 1
O4 0.171 0.314 0.787 1
O5 0.264 0.262 0.630 1
O6 0.271 0.069 0.018 1
O7 0.362 0.499 0.387 1
O8 0.396 0.017 0.334 1
O9 0.454 0.158 0.661 1
```

***

No. 2
Simulated powder diffraction line list of Al2O3 for Cu Ka, from a DFT-relaxed cell (GGA-PBE, the Materials Project).

The 10 most intense peaks (2θ = 15–90°), in order of rising 2θ:
2θ (°)  intensity  index
36.03  35  0 0 2
36.20  100  2 1 1
42.56  35  3 1 0
51.56  21  4 0 0
52.68  44  0 2 2
60.31  21  1 1 3
64.51  28  4 0 2
64.89  32  2 1 3
65.21  20  4 2 0
66.28  59  2 3 1

Structure:
```
data_Al2O3
_cell_length_a 7.090
_cell_length_b 4.847
_cell_length_c 4.985
_cell_angle_alpha 90.00
_cell_angle_beta 90.00
_cell_angle_gamma 90.00
_symmetry_space_group_name_H-M 'P b c n'
_symmetry_Int_Tables_number 60
_symmetry_space_group_name_Hall '-P 2n 2ab'
loop_
_atom_site_label
_atom_site_fract_x
_atom_site_fract_y
_atom_site_fract_z
_atom_site_occupancy
Al1 0.110 0.248 0.031 1
O1 0.000 0.049 0.750 1
O2 0.154 0.393 0.398 1
```

***

No. 3
Simulated powder diffraction line list of CaBi4O8 for Cu Ka, from a DFT-relaxed cell (GGA-PBE, the Materials Project).

The 10 most intense peaks (2θ = 15–90°), in order of rising 2θ:
2θ (°)  intensity  index
16.78  76  2 0 -2
26.50  100  4 0 0
29.90  76  1 1 1
30.29  78  3 1 -1
31.28  36  1 1 -2
31.48  42  0 0 3
31.66  32  3 1 -2
43.23  28  3 1 -4
43.78  28  5 1 -4
46.61  27  7 1 -2

Structure:
```
data_CaBi4O8
_cell_length_a 16.693
_cell_length_b 3.485
_cell_length_c 10.578
_cell_angle_alpha 90.00
_cell_angle_beta 126.31
_cell_angle_gamma 90.00
_symmetry_space_group_name_H-M 'C 1 m 1'
_symmetry_Int_Tables_number 8
_symmetry_space_group_name_Hall 'C -2y'
loop_
_atom_site_label
_atom_site_fract_x
_atom_site_fract_y
_atom_site_fract_z
_atom_site_occupancy
Ca1 0.000 0.000 0.000 1
Bi1 0.021 0.500 0.352 1
Bi2 0.024 0.000 0.698 1
Bi3 0.300 0.500 0.999 1
Bi4 0.313 0.000 0.643 1
O1 0.044 0.500 0.577 1
O2 0.122 0.000 0.417 1
O3 0.198 0.000 0.930 1
O4 0.330 0.500 0.816 1
O5 0.360 0.500 0.558 1
O6 0.419 0.500 0.285 1
O7 0.468 0.000 0.112 1
O8 0.488 0.000 0.834 1
```

***

No. 4
Simulated powder diffraction line list of YFe2Si2 for Cu Ka, from a DFT-relaxed cell (GGA-PBE, the Materials Project).

The 10 most intense peaks (2θ = 15–90°), in order of rising 2θ:
2θ (°)  intensity  index
24.30  20  1 0 1
36.22  50  1 0 3
37.19  100  1 1 2
37.76  14  0 0 4
45.73  47  2 0 0
59.69  22  2 1 3
60.75  13  2 0 4
66.67  14  2 2 0
67.80  20  1 1 6
78.89  19  3 1 2

Structure:
```
data_YFe2Si2
_cell_length_a 3.968
_cell_length_b 3.968
_cell_length_c 9.531
_cell_angle_alpha 90.00
_cell_angle_beta 90.00
_cell_angle_gamma 90.00
_symmetry_space_group_name_H-M 'I 4/m m m'
_symmetry_Int_Tables_number 139
_symmetry_space_group_name_Hall '-I 4 2'
loop_
_atom_site_label
_atom_site_fract_x
_atom_site_fract_y
_atom_site_fract_z
_atom_site_occupancy
Y1 0.000 0.000 0.000 1
Fe1 0.000 0.500 0.250 1
Si1 0.000 0.000 0.365 1
```